This entry pairs a crystal structure of ZnS with its simulated X-ray powder pattern. Radiation: Cu Ka. Structure: a crystal structure in the Materials Project, relaxed with PBE.
Neutral-atom scattering factors, no anomalous dispersion.

```
ZnS
1.0
3.8538 0.0000 0.0000
-1.9269 3.3375 0.0000
0.0000 0.0000 75.5590
Zn S
24 24
Direct
0.0000 0.0000 0.0000
0.0000 0.0000 0.0834
0.0000 0.0000 0.2083
0.0000 0.0000 0.3333
0.0000 0.0000 0.5000
0.0000 0.0000 0.6250
0.0000 0.0000 0.7500
0.0000 0.0000 0.8750
0.3333 0.6667 0.0417
0.3333 0.6667 0.1667
0.3333 0.6667 0.2917
0.3333 0.6667 0.4167
0.3333 0.6667 0.5417
0.3333 0.6667 0.6667
0.3333 0.6667 0.7917
0.3333 0.6667 0.9167
0.6667 0.3333 0.1250
0.6667 0.3333 0.2500
0.6667 0.3333 0.3750
0.6667 0.3333 0.4584
0.6667 0.3333 0.5833
0.6667 0.3333 0.7083
0.6667 0.3333 0.8333
0.6667 0.3333 0.9583
0.0000 0.0000 0.0312
0.0000 0.0000 0.1146
0.0000 0.0000 0.2396
0.0000 0.0000 0.3646
0.0000 0.0000 0.5312
0.0000 0.0000 0.6562
0.0000 0.0000 0.7812
0.0000 0.0000 0.9062
0.3333 0.6667 0.0729
0.3333 0.6667 0.1979
0.3333 0.6667 0.3229
0.3333 0.6667 0.4479
0.3333 0.6667 0.5729
0.3333 0.6667 0.6979
0.3333 0.6667 0.8229
0.3333 0.6667 0.9479
0.6667 0.3333 0.1562
0.6667 0.3333 0.2812
0.6667 0.3333 0.4062
0.6667 0.3333 0.4896
0.6667 0.3333 0.6146
0.6667 0.3333 0.7396
0.6667 0.3333 0.8646
0.6667 0.3333 0.9896
```

Main lines, by angle (2θ from 10° to 90°):
(hkl)  2theta  intensity
1 0 7  28.0  21
0 0 24  28.4  100
1 0 9  28.8  20
1 1 0  47.2  72
1 1 24  55.9  48
3 0 0  87.7  19